Starting from the GGA+U geometry in Alexandria, the powder diffractogram of Ba2CaMn2P4O14 was calculated for CuKα.
Kinematic intensities with the Lorentz-polarization factor, no thermal factor.

Largest 6 diffraction maxima, sorted by position, 15 to 90 degrees two-theta:
| 2theta | I (rel.) |
| --- | --- |
| 17.9 | 100 |
| 26.9 | 43 |
| 27.9 | 56 |
| 28.1 | 60 |
| 28.7 | 45 |
| 30.2 | 41 |

Atomic structure:
```
data_Ba2CaMn2P4O14
_chemical_formula_sum 'Ba2 Ca1 Mn2 P4 O14'
_space_group_name_H-M_alt 'P -1'
_space_group_IT_number 2
_cell_length_a 5.4585
_cell_length_b 7.7393
_cell_length_c 10.3161
_cell_angle_alpha 79.87
_cell_angle_beta 77.73
_cell_angle_gamma 88.37
loop_
_space_group_symop_operation_xyz
'x,y,z'
'-x,-y,-z'
loop_
_atom_site_label
_atom_site_fract_x
_atom_site_fract_y
_atom_site_fract_z
_atom_site_occupancy
Ba1 0.0861 0.0796 0.2128 1
Ca1 0.5000 0.0000 0.5000 1
Mn1 0.1501 0.6033 0.0905 1
P1 0.3929 0.2139 0.8097 1
P2 0.4055 0.5972 0.7659 1
O1 0.1342 0.1970 0.9074 1
O2 0.1650 0.5925 0.8815 1
O3 0.3570 0.3931 0.1773 1
O4 0.3815 0.7388 0.6493 1
O5 0.3870 0.8000 0.1173 1
O6 0.4059 0.4087 0.7162 1
O7 0.4174 0.0799 0.7155 1
```